Entry 1:
This entry pairs a crystal structure of WSeN with its simulated powder XRD pattern. Radiation: Cu Ka. Structure: a structure optimized by DFT (GGA-PBE).

Atomic structure:
Cell: 4.232 8.853 9.726 Å, 90.00 90.00 90.00°
Space group Cmce (No. 64)
Asymmetric unit:
W1 0.000 0.088 0.117 x8
Se1 0.000 0.222 0.862 x8
N1 0.150 0.000 0.500 x8

Largest 10 diffraction maxima, by angle, 15 to 90 degrees two-theta:
| d_spacing | I/Imax | (hkl) |
| --- | --- | --- |
| 4.029 | 32 | 0 2 1 |
| 3.554 | 81 | 1 1 1 |
| 2.615 | 19 | 0 2 3 |
| 2.471 | 30 | 1 1 3 |
| 2.431 | 33 | 0 0 4 |
| 2.167 | 100 | 1 3 2 |
| 2.116 | 25 | 2 0 0 |
| 1.733 | 17 | 1 1 5 |
| 1.596 | 21 | 2 0 4 |
| 1.347 | 19 | 1 3 6 |



Entry 2:
This entry pairs a crystal structure of Tb3ErAg4 with its simulated powder XRD pattern. Radiation: Cu Ka. Structure: a structure optimized by DFT (GGA-PBE).

Atomic structure:
Cell: 3.637 3.637 14.580 Å, 90.00 90.00 90.00°
Space group P4/mmm (No. 123)
Asymmetric unit:
Tb1 0.000 0.000 0.000 x1
Tb2 0.000 0.000 0.252 x2
Er1 0.000 0.000 0.500 x1
Ag1 0.500 0.500 0.125 x2
Ag2 0.500 0.500 0.379 x2

Largest 10 diffraction maxima, by angle, 15 to 90 degrees two-theta:
| d_spacing | I/Imax | (hkl) |
| --- | --- | --- |
| 3.640 | 4 | 0 0 4 |
| 2.574 | 100 | 1 1 0 |
| 2.101 | 1 | 1 1 4 |
| 1.823 | 6 | 0 0 8 |
| 1.818 | 12 | 2 0 0 |
| 1.628 | 1 | 1 0 8 |
| 1.486 | 36 | 2 1 4 |
| 1.287 | 11 | 2 2 0 |
| 1.152 | 5 | 1 0 12 |
| 1.150 | 10 | 3 1 0 |



Entry 3:
This entry pairs a crystal structure of NaSr3Sb2O9 with its simulated powder XRD pattern. Radiation: Cu Ka. Structure: a structure optimized by DFT (GGA-PBE).

Atomic structure:
Cell: 5.7951 5.7951 7.2421 Å, 90.00 90.00 120.00°
Space group P-3m1 (No. 164)
Asymmetric unit:
Na1 0.0000 0.0000 0.0000 x1
Sr1 0.0000 0.0000 0.5000 x1
Sr2 0.3333 0.6667 0.1430 x2
Sb1 0.3333 0.6667 0.6645 x2
O1 0.0000 0.5000 0.5000 x3
O2 0.1730 0.3461 0.8151 x6

Largest 10 diffraction maxima, by angle, 15 to 90 degrees two-theta:
| d_spacing | I/Imax | (hkl) |
| --- | --- | --- |
| 4.125 | 19 | 0 1 1 |
| 2.937 | 100 | 0 1 2 |
| 2.898 | 91 | 1 1 0 |
| 2.063 | 66 | 2 0 2 |
| 1.703 | 17 | 1 0 4 |
| 1.680 | 39 | 1 2 2 |
| 1.673 | 18 | 3 0 0 |
| 1.468 | 18 | 0 2 4 |
| 1.449 | 20 | 2 2 0 |
| 1.299 | 17 | 3 1 2 |



Entry 4:
This entry pairs a crystal structure of B8O with its simulated powder XRD pattern. Radiation: Cu Ka. Structure: a structure optimized by DFT (GGA-PBE).

Atomic structure:
Cell: 5.137 5.319 7.359 Å, 90.00 92.40 90.00°
Space group Pm (No. 6)
Asymmetric unit:
B1 0.000 0.000 0.000 x1
B2 0.001 0.260 0.846 x2
B3 0.270 0.000 0.581 x1
B4 0.285 0.262 0.722 x2
B5 0.306 0.165 0.955 x2
B6 0.321 0.500 0.279 x1
B7 0.476 0.000 0.786 x1
B8 0.484 0.331 0.111 x2
B9 0.516 0.235 0.340 x2
B10 0.531 0.500 0.481 x1
B11 0.773 0.500 0.077 x1
B12 0.797 0.220 0.207 x2
B13 0.805 0.000 0.784 x1
B14 0.825 0.330 0.443 x2
B15 0.978 0.166 0.614 x2
B16 0.991 0.500 0.275 x1
O1 0.395 0.000 0.403 x1
O2 0.407 0.500 0.662 x1
O3 0.886 0.500 0.899 x1

Largest 10 diffraction maxima, by angle, 15 to 90 degrees two-theta:
| d_spacing | I/Imax | (hkl) |
| --- | --- | --- |
| 4.304 | 19 | 0 1 1 |
| 4.128 | 60 | 1 0 1 |
| 3.693 | 11 | 1 1 0 |
| 2.567 | 100 | 2 0 0 |
| 2.261 | 47 | 1 2 -1 |
| 2.249 | 23 | 1 0 -3 |
| 1.467 | 16 | 2 0 4 |
| 1.424 | 8 | 2 3 1 |
| 1.422 | 8 | 3 2 -1 |
| 1.417 | 8 | 0 1 5 |



Entry 5:
This entry pairs a crystal structure of Na4In2H with its simulated powder XRD pattern. Radiation: Cu Ka. Structure: a structure optimized by DFT (GGA-PBE).

Atomic structure:
Cell: 4.516 4.516 17.464 Å, 90.00 90.00 90.00°
Space group I4/mmm (No. 139)
Asymmetric unit:
Na1 0.000 0.000 0.138 x4
Na2 0.000 0.500 0.000 x4
In1 0.000 0.000 0.311 x4
H1 0.000 0.000 0.000 x2

Largest 10 diffraction maxima, by angle, 15 to 90 degrees two-theta:
| d_spacing | I/Imax | (hkl) |
| --- | --- | --- |
| 3.568 | 94 | 1 0 3 |
| 3.193 | 66 | 1 1 0 |
| 2.999 | 100 | 1 1 2 |
| 2.763 | 89 | 1 0 5 |
| 2.258 | 50 | 2 0 0 |
| 2.185 | 35 | 1 0 7 |
| 1.908 | 32 | 2 1 3 |
| 1.802 | 26 | 1 1 8 |
| 1.784 | 25 | 2 0 6 |
| 1.748 | 48 | 2 1 5 |



Entry 6:
This entry pairs a crystal structure of KLi2Te with its simulated powder XRD pattern. Radiation: Cu Ka. Structure: a structure optimized by DFT (GGA-PBE).

Atomic structure:
Cell: 4.056 4.056 8.201 Å, 90.00 90.00 90.00°
Space group P4mm (No. 99)
Asymmetric unit:
K1 0.000 0.000 0.000 x1
Li1 0.000 0.000 0.622 x1
Li2 0.500 0.500 0.395 x1
Te1 0.500 0.500 0.716 x1

Largest 10 diffraction maxima, by angle, 15 to 90 degrees two-theta:
| d_spacing | I/Imax | (hkl) |
| --- | --- | --- |
| 4.056 | 25 | 1 0 0 |
| 3.635 | 100 | 1 0 1 |
| 2.883 | 77 | 1 0 2 |
| 2.868 | 47 | 1 1 0 |
| 2.707 | 38 | 1 1 1 |
| 2.267 | 20 | 1 0 3 |
| 2.028 | 17 | 2 0 0 |
| 1.979 | 25 | 1 1 3 |
| 1.771 | 25 | 2 1 1 |
| 1.659 | 28 | 2 1 2 |



Entry 7:
This entry pairs a crystal structure of CsSrLiCa2 with its simulated powder XRD pattern. Radiation: Cu Ka. Structure: a structure optimized by DFT (GGA-PBE).

Atomic structure:
Cell: 6.418 6.418 6.663 Å, 90.00 90.00 90.00°
Space group P4/mmm (No. 123)
Asymmetric unit:
Cs1 0.000 0.000 0.000 x1
Sr1 0.000 0.000 0.500 x1
Li1 0.500 0.500 0.500 x1
Ca1 0.000 0.500 0.000 x2

Largest 10 diffraction maxima, by angle, 15 to 90 degrees two-theta:
| d_spacing | I/Imax | (hkl) |
| --- | --- | --- |
| 4.538 | 45 | 1 1 0 |
| 3.331 | 55 | 0 0 2 |
| 3.209 | 100 | 2 0 0 |
| 2.957 | 76 | 1 0 2 |
| 2.870 | 70 | 2 1 0 |
| 2.311 | 79 | 2 0 2 |
| 2.269 | 37 | 2 2 0 |
| 2.174 | 63 | 2 1 2 |
| 1.875 | 41 | 2 2 2 |
| 1.318 | 25 | 4 2 2 |



Entry 8:
This entry pairs a crystal structure of HoZrCo with its simulated powder XRD pattern. Radiation: Cu Ka. Structure: a structure optimized by DFT (GGA-PBE).

Atomic structure:
Cell: 3.292 3.292 11.452 Å, 90.00 90.00 90.00°
Space group I4mm (No. 107)
Asymmetric unit:
Ho1 0.000 0.000 0.000 x2
Zr1 0.000 0.000 0.282 x2
Co1 0.000 0.000 0.662 x2

Largest 10 diffraction maxima, by angle, 15 to 90 degrees two-theta:
| d_spacing | I/Imax | (hkl) |
| --- | --- | --- |
| 3.164 | 31 | 1 0 1 |
| 2.863 | 16 | 0 0 4 |
| 2.493 | 100 | 1 0 3 |
| 2.328 | 50 | 1 1 0 |
| 1.806 | 17 | 1 1 4 |
| 1.646 | 17 | 2 0 0 |
| 1.476 | 10 | 1 1 6 |
| 1.465 | 11 | 1 0 7 |
| 1.374 | 30 | 2 1 3 |
| 1.094 | 9 | 2 1 7 |



Entry 9:
This entry pairs a crystal structure of KSeI3 with its simulated powder XRD pattern. Radiation: Cu Ka. Structure: a structure optimized by DFT (GGA-PBE).

Atomic structure:
Cell: 6.964 6.084 26.325 Å, 90.00 99.97 90.00°
Space group P2_1/c (No. 14)
Asymmetric unit:
K1 0.069 0.248 0.381 x4
Se1 0.445 0.671 0.999 x4
I1 0.034 0.504 0.250 x4
I2 0.041 0.745 0.446 x4
I3 0.416 0.611 0.600 x4

Largest 10 diffraction maxima, by angle, 15 to 90 degrees two-theta:
| d_spacing | I/Imax | (hkl) |
| --- | --- | --- |
| 5.670 | 59 | 1 0 2 |
| 4.454 | 87 | 1 1 -2 |
| 4.321 | 57 | 0 0 6 |
| 3.980 | 53 | 1 0 -6 |
| 3.945 | 93 | 1 1 -4 |
| 3.523 | 64 | 0 1 6 |
| 3.429 | 100 | 2 0 0 |
| 2.963 | 86 | 0 2 2 |
| 2.577 | 63 | 1 0 -10 |
| 2.299 | 60 | 1 0 10 |